# Ca3Y3N5
Theoretical X-ray diffraction stick pattern, Cu Ka. Input: DFT lattice parameters and positions (PBE).
Neutral-atom scattering factors, no anomalous dispersion.

Atomic structure:
Lattice parameters (Å, degrees): 6.1392 7.0639 9.4022 79.10 79.05 72.52
Sites, in units of the cell vectors:
Ca 0.2008 0.4129 0.1052
Ca 0.2313 0.2435 0.7433
Ca 0.2621 0.0806 0.4101
Ca 0.7379 0.9194 0.5899
Ca 0.7687 0.7565 0.2567
Ca 0.7992 0.5871 0.8948
Y 0.2356 0.7865 0.7432
Y 0.2366 0.5877 0.4439
Y 0.2416 0.9464 0.0737
Y 0.7584 0.0536 0.9263
Y 0.7634 0.4123 0.5561
Y 0.7644 0.2135 0.2568
N 0.0176 0.7561 0.9895
N 0.0206 0.5828 0.6631
N 0.0224 0.9112 0.3162
N 0.4867 0.7327 0.5173
N 0.4939 0.9044 0.8482
N 0.5061 0.0956 0.1518
N 0.5133 0.2673 0.4827
N 0.9776 0.0888 0.6838
N 0.9794 0.4172 0.3369
N 0.9824 0.2439 0.0105

Principal peaks in the range 2θ = 5–70°, by angle:
2theta	Rel. int.
17.53	451
22.90	175
30.70	492
30.87	1000
31.17	491
35.17	666
35.94	684
36.37	616
50.83	203
51.45	382
51.77	184
52.35	197

---

# Ca6ZnN2
Theoretical X-ray diffraction stick pattern, Cu Ka. Input: DFT lattice parameters and positions (PBE).
Neutral-atom scattering factors, no anomalous dispersion.

Atomic structure:
Lattice parameters (Å, degrees): 7.0695 7.0695 7.0695 57.16 57.16 57.16
Sites, in units of the cell vectors:
Ca 0.0468 0.2928 0.6604
Ca 0.1187 0.9264 0.4520
Ca 0.2928 0.6604 0.0468
Ca 0.4520 0.1187 0.9264
Ca 0.6604 0.0468 0.2928
Ca 0.9264 0.4520 0.1187
Zn 0.5600 0.5600 0.5600
N 0.0722 0.0722 0.0722
N 0.2621 0.2621 0.2621

Principal peaks in the range 2θ = 5–70°, by angle:
2theta	Rel. int.
18.17	212
25.24	149
29.51	122
30.34	154
30.47	1000
30.95	275
32.20	163
40.61	382
42.07	151
45.84	203
46.51	212
53.98	158

---

# Ca3Zr2N4
Theoretical X-ray diffraction stick pattern, Cu Ka. Input: DFT lattice parameters and positions (PBE).
Neutral-atom scattering factors, no anomalous dispersion.

Atomic structure:
Lattice parameters (Å, degrees): 6.0145 6.0145 8.5965 120.15 120.15 33.58
Sites, in units of the cell vectors:
Ca 0.0000 0.0000 0.0000
Ca 0.1955 0.1955 0.8029
Ca 0.8045 0.8045 0.1971
Zr 0.3932 0.3932 0.6245
Zr 0.6068 0.6068 0.3755
N 0.1950 0.1950 0.3251
N 0.4178 0.4178 0.1310
N 0.5822 0.5822 0.8690
N 0.8050 0.8050 0.6749

Principal peaks in the range 2θ = 5–70°, by angle:
2theta	Rel. int.
12.09	138
15.61	227
21.36	314
31.23	299
31.84	1000
36.31	852
37.61	406
52.68	148
52.87	217
53.67	265
62.54	145
66.53	181

---

# Na17Ca2
Theoretical X-ray diffraction stick pattern, Cu Ka. Input: DFT lattice parameters and positions (PBE).
Neutral-atom scattering factors, no anomalous dispersion.

Atomic structure:
Lattice parameters (Å, degrees): 9.0549 9.0549 9.0549 81.01 81.01 81.01
Sites, in units of the cell vectors:
Na 0.0000 0.0000 0.5000
Na 0.0000 0.3066 0.6934
Na 0.0000 0.5000 0.0000
Na 0.0000 0.6934 0.3066
Na 0.1003 0.1003 0.1003
Na 0.1597 0.6396 0.6396
Na 0.3066 0.0000 0.6934
Na 0.3066 0.6934 0.0000
Na 0.3604 0.3604 0.8403
Na 0.3604 0.8403 0.3604
Na 0.5000 0.0000 0.0000
Na 0.6396 0.1597 0.6396
Na 0.6396 0.6396 0.1597
Na 0.6934 0.0000 0.3066
Na 0.6934 0.3066 0.0000
Na 0.8403 0.3604 0.3604
Na 0.8997 0.8997 0.8997
Ca 0.3269 0.3269 0.3269
Ca 0.6731 0.6731 0.6731

Principal peaks in the range 2θ = 5–70°, by angle:
2theta	Rel. int.
21.17	153
26.25	412
26.46	205
29.84	314
30.26	1000
30.41	848
33.96	409
46.33	145
48.88	190
53.23	217
54.02	320
62.93	137